For Y2UO6, DFT lattice parameters and positions (PBE) gives the calculated powder X-ray diffraction pattern in this record (CuKα).
Neutral-atom scattering factors, no anomalous dispersion.

Largest 10 diffraction maxima, sorted by position, 2θ from 5° to 70°:
2theta	I_rel	hkl
16.9	133	0 0 2
19.3	374	1 0 1
24.7	1000	1 1 0
31.1	868	1 0 3
35.2	250	2 0 0
47.6	710	2 1 3
50.6	167	2 2 0
57.1	164	3 1 0
58.8	179	1 1 6
60.5	212	3 0 3

Structure:
```
data_Y2UO6
_chemical_formula_sum 'Y4 U2 O12'
_cell_length_a 5.1044
_cell_length_b 5.1044
_cell_length_c 10.4652
_cell_angle_alpha 90.00
_cell_angle_beta 90.00
_cell_angle_gamma 90.00
_space_group_name_H-M_alt 'P 1'
_space_group_IT_number 1
loop_
_space_group_symop_operation_xyz
'x,y,z'
loop_
_atom_site_label
_atom_site_fract_x
_atom_site_fract_y
_atom_site_fract_z
Y1 0.0000 0.0000 0.1661
Y2 0.0000 0.0000 0.8339
Y3 0.5000 0.5000 0.3339
Y4 0.5000 0.5000 0.6661
U1 0.0000 0.0000 0.5000
U2 0.5000 0.5000 0.0000
O1 0.1849 0.1849 0.3447
O2 0.1849 0.1849 0.6553
O3 0.2083 0.2083 0.0000
O4 0.2917 0.7083 0.5000
O5 0.3151 0.6849 0.1553
O6 0.3151 0.6849 0.8447
O7 0.6849 0.3151 0.1553
O8 0.6849 0.3151 0.8447
O9 0.7083 0.2917 0.5000
O10 0.7917 0.7917 0.0000
O11 0.8151 0.8151 0.3447
O12 0.8151 0.8151 0.6553
```